1.
The following is a theoretical XRD peak list of Pm6Pr12Ho. It was derived from a cell relaxed with PBE, using Cu Kα, 1.54184 Å.

Largest 10 diffraction maxima, low angle first, 15° ≤ 2θ ≤ 90°:
d [Å]	2θ (°)	I (rel.)
2.974	30.05	42
2.935	30.46	29
2.915	30.67	100
2.796	32.00	67
2.772	32.30	31
2.651	33.81	18
2.073	43.66	13
1.746	52.39	12
1.714	53.45	19
1.633	56.33	12

Atomic structure:
```
data_Pm6Pr12Ho
_cell_length_a 8.8057
_cell_length_b 8.8057
_cell_length_c 8.8057
_cell_angle_alpha 89.13
_cell_angle_beta 89.13
_cell_angle_gamma 89.13
_symmetry_space_group_name_H-M 'P 1'
_symmetry_Int_Tables_number 1
_symmetry_space_group_name_Hall 'P 1'
loop_
_atom_site_label
_atom_site_fract_x
_atom_site_fract_y
_atom_site_fract_z
Pm1 0.2012 0.5963 0.7611
Pm2 0.2389 0.7988 0.4037
Pm3 0.4037 0.2389 0.7988
Pm4 0.5963 0.7611 0.2012
Pm5 0.7611 0.2012 0.5963
Pm6 0.7988 0.4037 0.2389
Pr1 0.0357 0.2810 0.9339
Pr2 0.0661 0.9643 0.7190
Pr3 0.1392 0.3082 0.4824
Pr4 0.2810 0.9339 0.0357
Pr5 0.3082 0.4824 0.1392
Pr6 0.4824 0.1392 0.3082
Pr7 0.5176 0.8608 0.6918
Pr8 0.6918 0.5176 0.8608
Pr9 0.7190 0.0661 0.9643
Pr10 0.8608 0.6918 0.5176
Pr11 0.9339 0.0357 0.2810
Pr12 0.9643 0.7190 0.0661
Ho1 0.5000 0.5000 0.5000
```

=====

2.
The following is a theoretical XRD peak list of PmPr4Ho2. It was derived from a cell relaxed with PBE, using Cu Kα, 1.54184 Å.

Largest 10 diffraction maxima, low angle first, 15° ≤ 2θ ≤ 90°:
d [Å]	2θ (°)	I (rel.)
3.036	29.42	13
2.993	29.85	100
2.947	30.33	31
2.872	31.14	66
2.817	31.77	31
2.797	32.00	23
2.455	36.60	29
1.826	49.93	21
1.685	54.47	15
1.544	59.89	14

Atomic structure:
```
data_PmPr4Ho2
_cell_length_a 12.7001
_cell_length_b 12.7001
_cell_length_c 6.8890
_cell_angle_alpha 96.97
_cell_angle_beta 96.97
_cell_angle_gamma 150.25
_symmetry_space_group_name_H-M 'P 1'
_symmetry_Int_Tables_number 1
_symmetry_space_group_name_Hall 'P 1'
loop_
_atom_site_label
_atom_site_fract_x
_atom_site_fract_y
_atom_site_fract_z
Pm1 0.1249 0.8751 0.5000
Pm2 0.8751 0.1249 0.0000
Pr1 0.3614 0.7536 0.0993
Pr2 0.3685 0.8315 0.6311
Pr3 0.4061 0.5135 0.9028
Pr4 0.5135 0.4061 0.4028
Pr5 0.7536 0.3614 0.5993
Pr6 0.8315 0.3685 0.1311
Pr7 0.9513 0.9888 0.3716
Pr8 0.9888 0.9513 0.8716
Ho1 0.2411 0.9237 0.0501
Ho2 0.4405 0.6235 0.4508
Ho3 0.6235 0.4405 0.9508
Ho4 0.9237 0.2411 0.5501
```

=====

3.
The following is a theoretical XRD peak list of PmPr4Ho10. It was derived from a cell relaxed with PBE, using Cu Kα, 1.54184 Å.

Largest 10 diffraction maxima, low angle first, 15° ≤ 2θ ≤ 90°:
d [Å]	2θ (°)	I (rel.)
3.345	26.65	80
3.104	28.76	72
3.077	29.02	100
2.757	32.48	82
2.667	33.61	81
2.617	34.27	42
2.342	38.44	25
2.176	41.50	30
2.151	42.00	31
2.016	44.97	44

Atomic structure:
```
data_PmPr4Ho10
_cell_length_a 8.7125
_cell_length_b 8.7125
_cell_length_c 8.7125
_cell_angle_alpha 112.10
_cell_angle_beta 112.10
_cell_angle_gamma 104.34
_symmetry_space_group_name_H-M 'P 1'
_symmetry_Int_Tables_number 1
_symmetry_space_group_name_Hall 'P 1'
loop_
_atom_site_label
_atom_site_fract_x
_atom_site_fract_y
_atom_site_fract_z
Pm1 0.0000 0.0000 0.0000
Pr1 0.0666 0.3342 0.4008
Pr2 0.3342 0.9334 0.2675
Pr3 0.6658 0.0666 0.7325
Pr4 0.9334 0.6658 0.5992
Ho1 0.1305 0.4546 0.9044
Ho2 0.2261 0.1305 0.6759
Ho3 0.2500 0.7500 0.5000
Ho4 0.4498 0.7739 0.9044
Ho5 0.4546 0.5502 0.3241
Ho6 0.5454 0.4498 0.6759
Ho7 0.5502 0.2261 0.0956
Ho8 0.7500 0.2500 0.5000
Ho9 0.7739 0.8695 0.3241
Ho10 0.8695 0.5454 0.0956
```

=====

4.
The following is a theoretical XRD peak list of Pm2Pr3Ho6. It was derived from a cell relaxed with PBE, using Cu Kα, 1.54184 Å.

Largest 10 diffraction maxima, low angle first, 15° ≤ 2θ ≤ 90°:
d [Å]	2θ (°)	I (rel.)
3.137	28.45	100
2.924	30.57	28
2.768	32.34	20
2.625	34.16	79
2.396	37.54	62
1.811	50.37	24
1.694	54.14	22
1.491	62.27	39
1.423	65.59	24
1.119	87.06	19

Atomic structure:
```
data_Pm2Pr3Ho6
_cell_length_a 16.9510
_cell_length_b 16.9510
_cell_length_c 16.9510
_cell_angle_alpha 163.75
_cell_angle_beta 163.75
_cell_angle_gamma 23.06
_symmetry_space_group_name_H-M 'P 1'
_symmetry_Int_Tables_number 1
_symmetry_space_group_name_Hall 'P 1'
loop_
_atom_site_label
_atom_site_fract_x
_atom_site_fract_y
_atom_site_fract_z
Pm1 0.0462 0.0462 0.0000
Pm2 0.9538 0.9538 0.0000
Pr1 0.2952 0.2952 0.0000
Pr2 0.5000 0.5000 0.0000
Pr3 0.7048 0.7048 0.0000
Ho1 0.1202 0.6202 0.5000
Ho2 0.1912 0.1912 0.0000
Ho3 0.3798 0.8798 0.5000
Ho4 0.6202 0.1202 0.5000
Ho5 0.8088 0.8088 0.0000
Ho6 0.8798 0.3798 0.5000
```

=====

5.
The following is a theoretical XRD peak list of Pm2Pr5Ho. It was derived from a cell relaxed with PBE, using Cu Kα, 1.54184 Å.

Largest 10 diffraction maxima, low angle first, 15° ≤ 2θ ≤ 90°:
d [Å]	2θ (°)	I (rel.)
3.000	29.78	100
2.598	34.52	51
1.838	49.61	30
1.834	49.72	6
1.567	58.92	29
1.565	59.03	14
1.501	61.80	6
1.499	61.92	6
1.193	80.52	9
1.162	83.11	14

Atomic structure:
```
data_Pm2Pr5Ho
_cell_length_a 7.3345
_cell_length_b 14.7097
_cell_length_c 5.2006
_cell_angle_alpha 90.00
_cell_angle_beta 90.00
_cell_angle_gamma 90.00
_symmetry_space_group_name_H-M 'P 1'
_symmetry_Int_Tables_number 1
_symmetry_space_group_name_Hall 'P 1'
loop_
_atom_site_label
_atom_site_fract_x
_atom_site_fract_y
_atom_site_fract_z
Pm1 0.2500 0.1236 0.0000
Pm2 0.2500 0.6236 0.0000
Pm3 0.7500 0.3764 0.0000
Pm4 0.7500 0.8764 0.0000
Pr1 0.0000 0.0000 0.5000
Pr2 0.0010 0.7482 0.5000
Pr3 0.2481 0.3763 0.0000
Pr4 0.2519 0.8763 0.0000
Pr5 0.4990 0.2482 0.5000
Pr6 0.5000 0.5000 0.5000
Pr7 0.5010 0.7518 0.5000
Pr8 0.7481 0.1237 0.0000
Pr9 0.7519 0.6237 0.0000
Pr10 0.9990 0.2518 0.5000
Ho1 0.0000 0.5000 0.5000
Ho2 0.5000 0.0000 0.5000
```

=====

6.
The following is a theoretical XRD peak list of Pm3Pr4Ho2. It was derived from a cell relaxed with PBE, using Cu Kα, 1.54184 Å.

Largest 10 diffraction maxima, low angle first, 15° ≤ 2θ ≤ 90°:
d [Å]	2θ (°)	I (rel.)
2.981	29.97	100
2.583	34.73	34
2.579	34.79	17
1.828	49.88	12
1.824	50.00	24
1.559	59.28	14
1.556	59.38	22
1.554	59.47	7
1.492	62.24	9
1.153	83.88	7

Atomic structure:
```
data_Pm3Pr4Ho2
_cell_length_a 6.3172
_cell_length_b 6.3206
_cell_length_c 9.6563
_cell_angle_alpha 90.05
_cell_angle_beta 108.90
_cell_angle_gamma 119.96
_symmetry_space_group_name_H-M 'P 1'
_symmetry_Int_Tables_number 1
_symmetry_space_group_name_Hall 'P 1'
loop_
_atom_site_label
_atom_site_fract_x
_atom_site_fract_y
_atom_site_fract_z
Pm1 0.0000 0.0000 0.0000
Pm2 0.4452 0.5565 0.6648
Pm3 0.5548 0.4435 0.3352
Pr1 0.1113 0.8883 0.6653
Pr2 0.3310 0.6650 0.9999
Pr3 0.6690 0.3350 0.0001
Pr4 0.8887 0.1117 0.3347
Ho1 0.2244 0.7794 0.3353
Ho2 0.7756 0.2206 0.6647
```

=====

7.
The following is a theoretical XRD peak list of PmPr5Ho2. It was derived from a cell relaxed with PBE, using Cu Kα, 1.54184 Å.

Largest 8 diffraction maxima, low angle first, 15° ≤ 2θ ≤ 90°:
d [Å]	2θ (°)	I (rel.)
2.985	29.94	100
2.585	34.71	51
1.828	49.90	36
1.559	59.29	43
1.492	62.21	12
1.292	73.24	6
1.186	81.09	18
1.156	83.66	16

Atomic structure:
```
data_PmPr5Ho2
_cell_length_a 7.3084
_cell_length_b 14.6184
_cell_length_c 5.1723
_cell_angle_alpha 90.00
_cell_angle_beta 90.00
_cell_angle_gamma 90.00
_symmetry_space_group_name_H-M 'P 1'
_symmetry_Int_Tables_number 1
_symmetry_space_group_name_Hall 'P 1'
loop_
_atom_site_label
_atom_site_fract_x
_atom_site_fract_y
_atom_site_fract_z
Pm1 0.0000 0.0000 0.0000
Pm2 0.5000 0.5000 0.0000
Pr1 0.9998 0.2495 0.0000
Pr2 0.0000 0.5000 0.0000
Pr3 0.0002 0.7505 0.0000
Pr4 0.2493 0.1246 0.5000
Pr5 0.2507 0.6246 0.5000
Pr6 0.5000 0.0000 0.0000
Pr7 0.4998 0.2505 0.0000
Pr8 0.5002 0.7495 0.0000
Pr9 0.7493 0.3754 0.5000
Pr10 0.7507 0.8754 0.5000
Ho1 0.2503 0.3755 0.5000
Ho2 0.2497 0.8755 0.5000
Ho3 0.7503 0.1245 0.5000
Ho4 0.7497 0.6245 0.5000
```

=====

8.
The following is a theoretical XRD peak list of Pm6Pr8Ho. It was derived from a cell relaxed with PBE, using Cu Kα, 1.54184 Å.

Largest 10 diffraction maxima, low angle first, 15° ≤ 2θ ≤ 90°:
d [Å]	2θ (°)	I (rel.)
3.024	29.54	42
2.935	30.45	100
2.925	30.57	67
2.835	31.56	49
2.816	31.78	19
2.646	33.87	19
2.517	35.67	23
1.773	51.55	16
1.711	53.55	22
1.581	58.36	14

Atomic structure:
```
data_Pm6Pr8Ho
_cell_length_a 8.8835
_cell_length_b 8.8835
_cell_length_c 8.8835
_cell_angle_alpha 63.38
_cell_angle_beta 63.38
_cell_angle_gamma 63.38
_symmetry_space_group_name_H-M 'P 1'
_symmetry_Int_Tables_number 1
_symmetry_space_group_name_Hall 'P 1'
loop_
_atom_site_label
_atom_site_fract_x
_atom_site_fract_y
_atom_site_fract_z
Pm1 0.0396 0.5973 0.7422
Pm2 0.2578 0.9604 0.4027
Pm3 0.4027 0.2578 0.9604
Pm4 0.5973 0.7422 0.0396
Pm5 0.7422 0.0396 0.5973
Pm6 0.9604 0.4027 0.2578
Pr1 0.0782 0.0782 0.0782
Pr2 0.2164 0.6134 0.2515
Pr3 0.2515 0.2164 0.6134
Pr4 0.3866 0.7485 0.7836
Pr5 0.6134 0.2515 0.2164
Pr6 0.7485 0.7836 0.3866
Pr7 0.7836 0.3866 0.7485
Pr8 0.9218 0.9218 0.9218
Ho1 0.5000 0.5000 0.5000
```